# 1
This entry pairs a crystal structure of CoH12PdC4N4O12 with its theoretical X-ray diffraction stick pattern. Radiation: copper Kα. Structure: a crystal structure in the Materials Project, relaxed with GGA+U.

Structural model:
```
data_CoH12PdC4N4O12
_space_group_name_H-M_alt 'C 1 2/m 1'
_space_group_IT_number 12
_space_group_name_Hall '-C 2y'
_cell_length_a 10.1772
_cell_length_b 14.8659
_cell_length_c 7.1828
_cell_angle_alpha 90.00
_cell_angle_beta 134.25
_cell_angle_gamma 90.00
loop_
_atom_site_label
_atom_site_type_symbol
_atom_site_fract_x
_atom_site_fract_y
_atom_site_fract_z
Co1 Co 0.0000 0.0000 0.0000
H1 H 0.0282 0.3411 0.1745
H2 H 0.1003 0.4045 0.8124
H3 H 0.1279 0.4143 0.4150
Pd1 Pd 0.0000 0.5000 0.0000
C1 C 0.1051 0.1757 0.0951
N1 N 0.0155 0.4039 0.2206
O1 O 0.0000 0.1432 0.5000
O2 O 0.0409 0.0000 0.2802
O3 O 0.1803 0.0961 0.1538
O4 O 0.1895 0.2478 0.1805
```

The 12 most intense peaks (10° ≤ 2θ ≤ 80°), in order of falling intensity:
d_spacing, Position (°2θ), Rel. int., index
5.145, 17.23, 100, 0 0 1
5.088, 17.43, 98, 2 0 -1
7.433, 11.91, 75, 0 2 0
3.273, 27.25, 58, 2 2 0
3.591, 24.79, 55, 2 0 -2
4.199, 21.16, 47, 2 2 -1
4.231, 21.00, 34, 0 2 1
3.645, 24.42, 32, 2 0 0
3.001, 29.77, 30, 2 4 -1
2.191, 41.20, 30, 4 2 -1
3.013, 29.65, 25, 0 4 1
2.709, 33.06, 19, 1 3 -2



# 2
This entry pairs a crystal structure of CoH20PtC4N4O12 with its theoretical X-ray diffraction stick pattern. Radiation: copper Kα. Structure: a crystal structure in the Materials Project, relaxed with GGA+U.

Structural model:
```
data_CoH20PtC4N4O12
_space_group_name_H-M_alt 'I 2 2 2'
_space_group_IT_number 23
_space_group_name_Hall 'I 2 2'
_cell_length_a 7.1592
_cell_length_b 7.4633
_cell_length_c 15.1634
_cell_angle_alpha 90.00
_cell_angle_beta 90.00
_cell_angle_gamma 90.00
loop_
_atom_site_label
_atom_site_type_symbol
_atom_site_fract_x
_atom_site_fract_y
_atom_site_fract_z
Co1 Co 0.0000 0.0000 0.0000
H1 H 0.0014 0.3540 0.9461
H2 H 0.0264 0.1474 0.6547
H3 H 0.1084 0.2824 0.4061
H4 H 0.1100 0.4956 0.8162
H5 H 0.1206 0.2879 0.5839
Pt1 Pt 0.0000 0.0000 0.5000
C1 C 0.1100 0.0023 0.8186
N1 N 0.0093 0.2029 0.5929
O1 O 0.0000 0.2776 0.0000
O2 O 0.0000 0.5000 0.1436
O3 O 0.1888 0.0044 0.7447
O4 O 0.1904 0.0041 0.8940
```

The 12 most intense peaks (10° ≤ 2θ ≤ 80°), in order of falling intensity:
d_spacing, Position (°2θ), Rel. int., index
5.166, 17.16, 100, 1 1 0
4.269, 20.81, 59, 1 1 2
7.582, 11.67, 57, 0 0 2
3.237, 27.56, 39, 2 0 2
3.056, 29.22, 39, 1 1 4
3.732, 23.85, 35, 0 2 0
3.157, 28.27, 27, 2 1 1
2.769, 32.34, 26, 1 2 3
2.177, 41.47, 21, 3 1 2
3.580, 24.87, 20, 2 0 0
6.696, 13.22, 18, 0 1 1
1.997, 45.41, 17, 1 3 4